K3Cu4F12: simulated X-ray powder pattern (a wavelength of 1.5418 Å), based on a PBE-relaxed structure.

```
data_K3Cu4F12
_chemical_formula_sum 'K6 Cu8 F24'
_symmetry_space_group_name_H-M 'I m -3 m'
_symmetry_Int_Tables_number 229
_symmetry_space_group_name_Hall '-I 4 2 3'
_cell_length_a 8.0007
_cell_length_b 8.0007
_cell_length_c 8.0007
_cell_angle_alpha 90.00
_cell_angle_beta 90.00
_cell_angle_gamma 90.00
loop_
_atom_site_label
_atom_site_type_symbol
_atom_site_fract_x
_atom_site_fract_y
_atom_site_fract_z
K1 K 0.0000 0.0000 0.5000
Cu1 Cu 0.2500 0.2500 0.2500
F1 F 0.0000 0.2542 0.2542
```

Largest 10 diffraction maxima, low angle first, 10 to 90 degrees two-theta:
h k l	Position (°2θ)	I_rel
1 1 0	15.7	12
2 0 0	22.2	66
2 2 0	31.6	100
4 0 0	45.3	67
4 2 0	51.1	26
4 2 2	56.3	37
4 4 0	66.1	36
4 4 2	70.6	11
6 2 0	75.1	15
4 4 4	83.8	11

KCu2F11: simulated X-ray powder pattern (a wavelength of 1.5418 Å), based on a PBE-relaxed structure.

```
data_KCu2F11
_chemical_formula_sum 'K2 Cu4 F22'
_symmetry_space_group_name_H-M 'C m m m'
_symmetry_Int_Tables_number 65
_symmetry_space_group_name_Hall '-C 2 2'
_cell_length_a 8.2096
_cell_length_b 10.4572
_cell_length_c 5.7966
_cell_angle_alpha 90.00
_cell_angle_beta 90.00
_cell_angle_gamma 90.00
loop_
_atom_site_label
_atom_site_type_symbol
_atom_site_fract_x
_atom_site_fract_y
_atom_site_fract_z
K1 K 0.0000 0.0000 0.0000
Cu1 Cu 0.2500 0.2500 0.5000
F1 F 0.0000 0.3366 0.5000
F2 F 0.0000 0.5000 0.5000
F3 F 0.1863 0.1416 0.2831
```

Largest 10 diffraction maxima, low angle first, 10 to 90 degrees two-theta:
h k l	Position (°2θ)	I_rel
0 0 1	15.3	100
0 2 0	17.0	35
1 1 1	20.6	32
2 0 0	21.7	27
0 2 1	22.9	72
2 0 1	26.6	29
2 2 0	27.6	55
3 3 0	41.9	35
0 4 2	46.8	26
4 2 1	50.3	20

KCuF4: simulated X-ray powder pattern (a wavelength of 1.5418 Å), based on a PBE-relaxed structure.

```
data_KCuF4
_chemical_formula_sum 'K2 Cu2 F8'
_symmetry_space_group_name_H-M 'P 1 21/c 1'
_symmetry_Int_Tables_number 14
_cell_length_a 5.8452
_cell_length_b 4.8592
_cell_length_c 7.1204
_cell_angle_alpha 90.00
_cell_angle_beta 110.14
_cell_angle_gamma 90.00
loop_
_symmetry_equiv_pos_as_xyz
'x,y,z'
'-x,-y,-z'
'-x,y+1/2,-z+1/2'
'x,-y+1/2,z+1/2'
loop_
_atom_site_label
_atom_site_type_symbol
_atom_site_fract_x
_atom_site_fract_y
_atom_site_fract_z
K1 K 0.0000 0.0000 0.0000
Cu1 Cu 0.5000 0.0000 0.5000
F1 F 0.1741 0.0008 0.4019
F2 F 0.4969 0.2088 0.1526
```

Largest 10 diffraction maxima, low angle first, 10 to 90 degrees two-theta:
h k l	Position (°2θ)	I_rel
1 0 0	16.2	28
0 1 1	22.6	32
1 1 -1	25.1	100
0 0 2	26.7	42
1 1 1	30.5	23
2 0 0	32.6	33
0 2 0	37.0	19
1 1 -3	42.5	47
0 2 2	46.2	26
3 1 -1	50.6	19

KCu3F9: simulated X-ray powder pattern (a wavelength of 1.5418 Å), based on a PBE-relaxed structure.

```
data_KCu3F9
_chemical_formula_sum 'K1 Cu3 F9'
_symmetry_space_group_name_H-M 'P 6/m m m'
_symmetry_Int_Tables_number 191
_symmetry_space_group_name_Hall '-P 6 2'
_cell_length_a 7.3432
_cell_length_b 7.3432
_cell_length_c 3.8339
_cell_angle_alpha 90.00
_cell_angle_beta 90.00
_cell_angle_gamma 120.00
loop_
_atom_site_label
_atom_site_type_symbol
_atom_site_fract_x
_atom_site_fract_y
_atom_site_fract_z
K1 K 0.0000 0.0000 0.0000
Cu1 Cu 0.0000 0.5000 0.5000
F1 F 0.0000 0.5000 0.0000
F2 F 0.2028 0.4056 0.5000
```

Largest 10 diffraction maxima, low angle first, 10 to 90 degrees two-theta:
h k l	Position (°2θ)	I_rel
1 0 0	13.9	26
0 0 1	23.2	42
1 0 1	27.2	33
2 0 0	28.1	100
1 1 1	33.8	23
0 0 2	47.4	19
2 2 0	49.7	38
2 0 2	56.0	26
4 0 0	58.0	16
2 2 2	71.1	21

KCu5F11: simulated X-ray powder pattern (a wavelength of 1.5418 Å), based on a PBE-relaxed structure.

```
data_KCu5F11
_chemical_formula_sum 'K2 Cu10 F22'
_symmetry_space_group_name_H-M 'C 1 2/m 1'
_symmetry_Int_Tables_number 12
_cell_length_a 7.4034
_cell_length_b 10.9075
_cell_length_c 6.5420
_cell_angle_alpha 90.00
_cell_angle_beta 111.90
_cell_angle_gamma 90.00
loop_
_symmetry_equiv_pos_as_xyz
'x,y,z'
'-x,-y,-z'
'-x,y,-z'
'x,-y,z'
'x+1/2,y+1/2,z'
'-x+1/2,-y+1/2,-z'
'-x+1/2,y+1/2,-z'
'x+1/2,-y+1/2,z'
loop_
_atom_site_label
_atom_site_type_symbol
_atom_site_fract_x
_atom_site_fract_y
_atom_site_fract_z
K1 K 0.0000 0.0000 0.0000
Cu1 Cu 0.0000 0.5000 0.0000
Cu2 Cu 0.2048 0.1565 0.6435
F1 F 0.0000 0.0000 0.5000
F2 F 0.0875 0.5000 0.3173
F3 F 0.0987 0.2057 0.3406
F4 F 0.2101 0.3739 0.0520
```

Largest 10 diffraction maxima, low angle first, 10 to 90 degrees two-theta:
h k l	Position (°2θ)	I_rel
1 1 -1	17.5	100
0 2 1	21.9	36
1 3 0	27.8	15
1 3 -1	29.1	29
2 2 0	30.8	23
0 2 2	33.8	15
2 4 0	42.3	33
3 3 -1	44.4	36
0 0 3	44.8	20
0 6 0	50.2	11

K2Cu3F10: simulated X-ray powder pattern (a wavelength of 1.5418 Å), based on a PBE-relaxed structure.

```
data_K2Cu3F10
_chemical_formula_sum 'K8 Cu12 F40'
_symmetry_space_group_name_H-M 'C 1 2/m 1'
_symmetry_Int_Tables_number 12
_cell_length_a 18.4742
_cell_length_b 5.9661
_cell_length_c 8.0965
_cell_angle_alpha 90.00
_cell_angle_beta 112.06
_cell_angle_gamma 90.00
loop_
_symmetry_equiv_pos_as_xyz
'x,y,z'
'-x,-y,-z'
'-x,y,-z'
'x,-y,z'
'x+1/2,y+1/2,z'
'-x+1/2,-y+1/2,-z'
'-x+1/2,y+1/2,-z'
'x+1/2,-y+1/2,z'
loop_
_atom_site_label
_atom_site_type_symbol
_atom_site_fract_x
_atom_site_fract_y
_atom_site_fract_z
K1 K 0.1169 0.0000 0.2263
K2 K 0.2128 0.0000 0.8198
Cu1 Cu 0.0000 0.2505 0.5000
Cu2 Cu 0.0772 0.5000 0.9789
Cu3 Cu 0.1810 0.5000 0.5129
F1 F 0.0000 0.2924 0.0000
F2 F 0.0207 0.0000 0.6700
F3 F 0.0229 0.5000 0.6773
F4 F 0.1079 0.2553 0.5215
F5 F 0.1354 0.5000 0.2666
F6 F 0.1444 0.2741 0.9801
F7 F 0.2308 0.5000 0.7545
F8 F 0.2500 0.2500 0.5000
```

Largest 10 diffraction maxima, low angle first, 10 to 90 degrees two-theta:
h k l	Position (°2θ)	I_rel
0 0 1	11.8	43
1 1 0	15.7	61
0 0 2	23.7	77
1 1 -2	26.9	55
3 1 -2	27.4	100
5 1 -1	28.5	34
6 0 -1	29.0	79
6 2 -1	42.2	81
0 0 4	48.5	37
8 2 2	65.7	35

K2Cu2F7: simulated X-ray powder pattern (a wavelength of 1.5418 Å), based on a PBE-relaxed structure.

```
data_K2Cu2F7
_chemical_formula_sum 'K4 Cu4 F14'
_symmetry_space_group_name_H-M 'C 1 2/m 1'
_symmetry_Int_Tables_number 12
_cell_length_a 7.3448
_cell_length_b 12.2400
_cell_length_c 3.7835
_cell_angle_alpha 90.00
_cell_angle_beta 90.36
_cell_angle_gamma 90.00
loop_
_symmetry_equiv_pos_as_xyz
'x,y,z'
'-x,-y,-z'
'-x,y,-z'
'x,-y,z'
'x+1/2,y+1/2,z'
'-x+1/2,-y+1/2,-z'
'-x+1/2,y+1/2,-z'
'x+1/2,-y+1/2,z'
loop_
_atom_site_label
_atom_site_type_symbol
_atom_site_fract_x
_atom_site_fract_y
_atom_site_fract_z
K1 K 0.0000 0.2203 0.0000
Cu1 Cu 0.2232 0.5000 0.4970
F1 F 0.0000 0.0000 0.5000
F2 F 0.2017 0.5000 0.9967
F3 F 0.2103 0.3503 0.4969
```

Largest 10 diffraction maxima, low angle first, 10 to 90 degrees two-theta:
h k l	Position (°2θ)	I_rel
0 2 0	14.5	57
0 0 1	23.5	28
2 0 0	24.2	33
0 2 1	27.7	77
2 2 0	28.3	100
0 4 0	29.2	44
2 0 -1	33.9	42
2 0 1	34.1	40
3 1 0	37.5	32
0 0 2	48.1	33

KMg2CuF8: simulated X-ray powder pattern (a wavelength of 1.5418 Å), based on a PBE-relaxed structure.

```
data_KMg2CuF8
_chemical_formula_sum 'K1 Mg2 Cu1 F8'
_symmetry_space_group_name_H-M 'P -1'
_symmetry_Int_Tables_number 2
_cell_length_a 5.0206
_cell_length_b 5.0258
_cell_length_c 7.0401
_cell_angle_alpha 79.20
_cell_angle_beta 79.28
_cell_angle_gamma 78.43
loop_
_symmetry_equiv_pos_as_xyz
'x,y,z'
'-x,-y,-z'
loop_
_atom_site_label
_atom_site_type_symbol
_atom_site_fract_x
_atom_site_fract_y
_atom_site_fract_z
K1 K 0.0000 0.0000 0.0000
Mg1 Mg 0.4510 0.4504 0.2304
Cu1 Cu 0.0000 0.0000 0.5000
F1 F 0.1959 0.7573 0.6984
F2 F 0.2395 0.8008 0.3027
F3 F 0.2532 0.2481 0.4612
F4 F 0.3423 0.3390 0.0061
```

Largest 10 diffraction maxima, low angle first, 10 to 90 degrees two-theta:
h k l	Position (°2θ)	I_rel
0 0 1	13.0	26
0 1 0	18.2	35
0 1 1	20.7	72
1 1 0	23.6	100
1 -1 0	28.1	60
0 1 2	29.5	70
0 1 -2	34.3	30
2 1 0	38.5	31
1 -1 2	38.7	63
1 2 2	41.6	28